Entry 1:
Diffraction record for Dy2B3O8. The powder diffractogram is computed, not measured: it uses a DFT-relaxed cell (PBE, Alexandria) and copper Kα.
Intensities are scaled so that the largest is 100.

Cell and atoms:
abc: 12.9142 4.3958 8.9905
angles: 90.00 90.00 90.00
Fractional positions:
Dy: 0.1397 0.0555 0.0404
Dy: 0.1397 0.9445 0.5404
Dy: 0.3603 0.4445 0.5404
Dy: 0.3603 0.5555 0.0404
Dy: 0.6397 0.4445 0.9596
Dy: 0.6397 0.5555 0.4596
Dy: 0.8603 0.0555 0.4596
Dy: 0.8603 0.9445 0.9596
B: 0.0000 0.4214 0.7500
B: 0.0000 0.5786 0.2500
B: 0.1930 0.4823 0.3007
B: 0.1930 0.5177 0.8007
B: 0.3070 0.0177 0.8007
B: 0.3070 0.9823 0.3007
B: 0.5000 0.0786 0.2500
B: 0.5000 0.9214 0.7500
B: 0.6930 0.0177 0.6993
B: 0.6930 0.9823 0.1993
B: 0.8070 0.4823 0.1993
B: 0.8070 0.5177 0.6993
O: 0.0060 0.2100 0.8771
O: 0.0060 0.7900 0.3771
O: 0.0932 0.3796 0.2363
O: 0.0932 0.6204 0.7363
O: 0.1886 0.4635 0.4611
O: 0.1886 0.5365 0.9611
O: 0.2183 0.2059 0.7429
O: 0.2183 0.7941 0.2429
O: 0.2817 0.2941 0.2429
O: 0.2817 0.7059 0.7429
O: 0.3114 0.0365 0.9611
O: 0.3114 0.9635 0.4611
O: 0.4068 0.1204 0.7363
O: 0.4068 0.8796 0.2363
O: 0.4940 0.2900 0.3771
O: 0.4940 0.7100 0.8771
O: 0.5060 0.2900 0.1229
O: 0.5060 0.7100 0.6229
O: 0.5932 0.1204 0.7637
O: 0.5932 0.8796 0.2637
O: 0.6886 0.0365 0.5389
O: 0.6886 0.9635 0.0389
O: 0.7183 0.2941 0.2571
O: 0.7183 0.7059 0.7571
O: 0.7817 0.2059 0.7571
O: 0.7817 0.7941 0.2571
O: 0.8114 0.4635 0.0389
O: 0.8114 0.5365 0.5389
O: 0.9068 0.3796 0.2637
O: 0.9068 0.6204 0.7637
O: 0.9940 0.2100 0.6229
O: 0.9940 0.7900 0.1229

Peak list (8 most intense, 2θ from 10° to 90°, by angle)
| 2theta | d [Å] | I (rel.) |
| --- | --- | --- |
| 19.7 | 4.495 | 84 |
| 21.4 | 4.161 | 71 |
| 29.0 | 3.076 | 67 |
| 29.2 | 3.054 | 100 |
| 31.7 | 2.826 | 56 |
| 34.2 | 2.622 | 68 |
| 35.4 | 2.538 | 73 |
| 47.6 | 1.912 | 58 |

***

Entry 2:
Diffraction record for DyPaB2O8. The powder diffractogram is computed, not measured: it uses a DFT-relaxed cell (PBE, Alexandria) and copper Kα.
Intensities are scaled so that the largest is 100.

Cell and atoms:
abc: 6.4707 6.4707 6.4707
angles: 137.61 137.61 61.50
Fractional positions:
Dy: 0.0000 0.0000 0.0000
Pa: 0.2500 0.7500 0.5000
B: 0.5000 0.5000 0.0000
B: 0.7500 0.2500 0.5000
O: 0.3157 0.6699 0.1310
O: 0.3301 0.4610 0.6458
O: 0.4365 0.0614 0.1347
O: 0.5390 0.1848 0.8690
O: 0.6982 0.5635 0.6249
O: 0.8152 0.6843 0.3542
O: 0.9267 0.3018 0.8653
O: 0.9386 0.0733 0.3751

Peak list (8 most intense, 2θ from 10° to 90°, by angle)
| 2theta | d [Å] | I (rel.) |
| --- | --- | --- |
| 20.6 | 4.313 | 100 |
| 30.8 | 2.906 | 32 |
| 31.5 | 2.843 | 99 |
| 44.0 | 2.056 | 40 |
| 45.1 | 2.009 | 22 |
| 50.1 | 1.822 | 32 |
| 51.0 | 1.790 | 27 |
| 65.3 | 1.430 | 24 |

***

Entry 3:
Diffraction record for PmDy3B4O12. The powder diffractogram is computed, not measured: it uses a DFT-relaxed cell (PBE, Alexandria) and copper Kα.
Intensities are scaled so that the largest is 100.

Cell and atoms:
abc: 6.5240 6.5240 6.5240
angles: 102.36 102.36 102.36
Fractional positions:
Pm: 0.0000 0.0000 0.0000
Dy: 0.0000 0.5342 0.4658
Dy: 0.4658 0.0000 0.5342
Dy: 0.5342 0.4658 0.0000
B: 0.0351 0.5000 0.9649
B: 0.5000 0.5000 0.5000
B: 0.5000 0.9649 0.0351
B: 0.9649 0.0351 0.5000
O: 0.0272 0.6363 0.8274
O: 0.1006 0.8994 0.5000
O: 0.1726 0.3637 0.9728
O: 0.3643 0.6357 0.5000
O: 0.3637 0.9728 0.1726
O: 0.5000 0.1006 0.8994
O: 0.5000 0.3643 0.6357
O: 0.6357 0.5000 0.3643
O: 0.6363 0.8274 0.0272
O: 0.8274 0.0272 0.6363
O: 0.8994 0.5000 0.1006
O: 0.9728 0.1726 0.3637

Peak list (8 most intense, 2θ from 10° to 90°, by angle)
| 2theta | d [Å] | I (rel.) |
| --- | --- | --- |
| 22.7 | 3.913 | 100 |
| 29.1 | 3.066 | 96 |
| 35.3 | 2.542 | 32 |
| 42.4 | 2.131 | 22 |
| 42.6 | 2.120 | 16 |
| 47.3 | 1.922 | 29 |
| 48.0 | 1.896 | 36 |
| 57.9 | 1.593 | 16 |

***

Entry 4:
Diffraction record for Rb2DyBO4. The powder diffractogram is computed, not measured: it uses a DFT-relaxed cell (PBE, Alexandria) and copper Kα.
Intensities are scaled so that the largest is 100.

Cell and atoms:
abc: 13.0552 11.9437 6.3823
angles: 85.13 65.72 29.15
Fractional positions:
Rb: 0.0551 0.0551 0.6949
Rb: 0.3051 0.3051 0.9449
Rb: 0.6949 0.6949 0.0551
Rb: 0.9449 0.9449 0.3051
Dy: 0.1250 0.1250 0.1250
Dy: 0.8750 0.8750 0.8750
B: 0.3750 0.3750 0.3750
B: 0.6250 0.6250 0.6250
O: 0.0897 0.5848 0.5031
O: 0.3224 0.5031 0.5848
O: 0.4152 0.9103 0.6776
O: 0.4969 0.6776 0.9103
O: 0.5031 0.3224 0.0897
O: 0.5848 0.0897 0.3224
O: 0.6776 0.4969 0.4152
O: 0.9103 0.4152 0.4969

Peak list (8 most intense, 2θ from 10° to 90°, by angle)
| 2theta | d [Å] | I (rel.) |
| --- | --- | --- |
| 15.2 | 5.835 | 63 |
| 19.4 | 4.576 | 75 |
| 27.0 | 3.300 | 63 |
| 27.5 | 3.240 | 100 |
| 29.1 | 3.070 | 45 |
| 34.8 | 2.580 | 60 |
| 38.6 | 2.334 | 39 |
| 53.2 | 1.721 | 39 |

***

Entry 5:
Diffraction record for DySnBO5. The powder diffractogram is computed, not measured: it uses a DFT-relaxed cell (PBE, Alexandria) and copper Kα.
Intensities are scaled so that the largest is 100.

Cell and atoms:
abc: 5.3886 5.3886 6.9603
angles: 102.44 102.44 106.75
Fractional positions:
Dy: 0.1469 0.8531 0.7500
Dy: 0.8531 0.1469 0.2500
Sn: 0.5000 0.5000 0.0000
Sn: 0.5000 0.5000 0.5000
B: 0.1850 0.8150 0.2500
B: 0.8150 0.1850 0.7500
O: 0.0811 0.2326 0.9124
O: 0.1658 0.6004 0.3590
O: 0.2326 0.0811 0.4124
O: 0.3995 0.6005 0.7500
O: 0.3996 0.8342 0.1410
O: 0.6004 0.1658 0.8590
O: 0.6005 0.3995 0.2500
O: 0.7674 0.9189 0.5876
O: 0.8342 0.3996 0.6410
O: 0.9189 0.7674 0.0876

Peak list (8 most intense, 2θ from 10° to 90°, by angle)
| 2theta | d [Å] | I (rel.) |
| --- | --- | --- |
| 19.1 | 4.644 | 51 |
| 24.7 | 3.599 | 38 |
| 28.1 | 3.178 | 90 |
| 29.8 | 2.998 | 66 |
| 34.5 | 2.597 | 100 |
| 37.4 | 2.403 | 25 |
| 45.1 | 2.011 | 26 |
| 53.9 | 1.700 | 26 |

***

Entry 6:
Diffraction record for Dy2BPPt6. The powder diffractogram is computed, not measured: it uses a DFT-relaxed cell (PBE, Alexandria) and copper Kα.
Intensities are scaled so that the largest is 100.

Cell and atoms:
abc: 5.6956 8.4147 7.2994
angles: 90.00 90.00 90.00
Fractional positions:
Dy: 0.2500 0.0298 0.2270
Dy: 0.2500 0.4702 0.2270
Dy: 0.7500 0.5298 0.7730
Dy: 0.7500 0.9702 0.7730
B: 0.2500 0.2500 0.7125
B: 0.7500 0.7500 0.2875
P: 0.2500 0.7500 0.8121
P: 0.7500 0.2500 0.1879
Pt: 0.0053 0.2500 0.9366
Pt: 0.0050 0.7500 0.4963
Pt: 0.2500 0.5031 0.6624
Pt: 0.2500 0.9969 0.6624
Pt: 0.4947 0.2500 0.9366
Pt: 0.4950 0.7500 0.4963
Pt: 0.5050 0.2500 0.5037
Pt: 0.5053 0.7500 0.0634
Pt: 0.7500 0.0031 0.3376
Pt: 0.7500 0.4969 0.3376
Pt: 0.9950 0.2500 0.5037
Pt: 0.9947 0.7500 0.0634

Peak list (8 most intense, 2θ from 10° to 90°, by angle)
| 2theta | d [Å] | I (rel.) |
| --- | --- | --- |
| 29.1 | 3.073 | 17 |
| 32.5 | 2.757 | 91 |
| 36.2 | 2.482 | 24 |
| 38.2 | 2.358 | 100 |
| 40.2 | 2.245 | 62 |
| 43.0 | 2.104 | 46 |
| 60.3 | 1.535 | 33 |
| 75.1 | 1.265 | 17 |

***

Entry 7:
Diffraction record for DyPaB2. The powder diffractogram is computed, not measured: it uses a DFT-relaxed cell (PBE, Alexandria) and copper Kα.
Intensities are scaled so that the largest is 100.

Cell and atoms:
abc: 6.4148 6.4148 6.4148
angles: 33.87 33.87 33.87
Fractional positions:
Dy: 0.0000 0.0000 0.0000
Pa: 0.5000 0.5000 0.5000
B: 0.2418 0.2418 0.2418
B: 0.7582 0.7582 0.7582

Peak list (8 most intense, 2θ from 10° to 90°, by angle)
| 2theta | d [Å] | I (rel.) |
| --- | --- | --- |
| 29.3 | 3.048 | 100 |
| 29.6 | 3.021 | 33 |
| 34.0 | 2.634 | 81 |
| 48.7 | 1.869 | 30 |
| 49.1 | 1.856 | 29 |
| 57.9 | 1.593 | 16 |
| 58.0 | 1.589 | 31 |
| 60.8 | 1.524 | 15 |

***

Entry 8:
Diffraction record for Dy2BPd2Pt4. The powder diffractogram is computed, not measured: it uses a DFT-relaxed cell (PBE, Alexandria) and copper Kα.
Intensities are scaled so that the largest is 100.

Cell and atoms:
abc: 5.9995 5.9995 5.9995
angles: 121.42 121.42 87.56
Fractional positions:
Dy: 0.2500 0.7500 0.5000
Dy: 0.7500 0.2500 0.5000
B: 0.0000 0.0000 0.0000
Pd: 0.2584 0.2584 0.0000
Pd: 0.7416 0.7416 0.0000
Pt: 0.2558 0.2558 0.5117
Pt: 0.2558 0.7442 0.0000
Pt: 0.7442 0.2558 0.0000
Pt: 0.7442 0.7442 0.4883

Peak list (8 most intense, 2θ from 10° to 90°, by angle)
| 2theta | d [Å] | I (rel.) |
| --- | --- | --- |
| 37.0 | 2.430 | 100 |
| 41.7 | 2.166 | 18 |
| 43.6 | 2.075 | 32 |
| 61.9 | 1.499 | 23 |
| 63.4 | 1.468 | 11 |
| 73.0 | 1.296 | 14 |
| 75.7 | 1.256 | 25 |
| 78.8 | 1.215 | 11 |

***

Entry 9:
Diffraction record for PmDyB12. The powder diffractogram is computed, not measured: it uses a DFT-relaxed cell (PBE, Alexandria) and copper Kα.
Intensities are scaled so that the largest is 100.

Cell and atoms:
abc: 4.1097 4.1097 8.2221
angles: 90.00 90.00 90.00
Fractional positions:
Pm: 0.0000 0.0000 0.0000
Dy: 0.0000 0.0000 0.5000
B: 0.1992 0.5000 0.2514
B: 0.1992 0.5000 0.7486
B: 0.5000 0.1992 0.2514
B: 0.5000 0.1992 0.7486
B: 0.5000 0.5000 0.1001
B: 0.5000 0.5000 0.4011
B: 0.5000 0.5000 0.5989
B: 0.5000 0.5000 0.8999
B: 0.5000 0.8008 0.2514
B: 0.5000 0.8008 0.7486
B: 0.8008 0.5000 0.2514
B: 0.8008 0.5000 0.7486

Peak list (8 most intense, 2θ from 10° to 90°, by angle)
| 2theta | d [Å] | I (rel.) |
| --- | --- | --- |
| 21.6 | 4.110 | 68 |
| 30.8 | 2.906 | 100 |
| 37.9 | 2.373 | 42 |
| 44.1 | 2.055 | 21 |
| 49.6 | 1.838 | 50 |
| 54.7 | 1.678 | 28 |
| 68.5 | 1.370 | 28 |
| 72.8 | 1.300 | 20 |

***

Entry 10:
Diffraction record for PrDyB12. The powder diffractogram is computed, not measured: it uses a DFT-relaxed cell (PBE, Alexandria) and copper Kα.
Intensities are scaled so that the largest is 100.

Cell and atoms:
abc: 4.1200 4.1200 8.2416
angles: 90.00 90.00 90.00
Fractional positions:
Pr: 0.0000 0.0000 0.0000
Dy: 0.0000 0.0000 0.5000
B: 0.1994 0.5000 0.2523
B: 0.1994 0.5000 0.7477
B: 0.5000 0.1994 0.2523
B: 0.5000 0.1994 0.7477
B: 0.5000 0.5000 0.1005
B: 0.5000 0.5000 0.4013
B: 0.5000 0.5000 0.5987
B: 0.5000 0.5000 0.8995
B: 0.5000 0.8006 0.2523
B: 0.5000 0.8006 0.7477
B: 0.8006 0.5000 0.2523
B: 0.8006 0.5000 0.7477

Peak list (8 most intense, 2θ from 10° to 90°, by angle)
| 2theta | d [Å] | I (rel.) |
| --- | --- | --- |
| 21.6 | 4.120 | 67 |
| 30.7 | 2.913 | 100 |
| 37.8 | 2.379 | 42 |
| 44.0 | 2.060 | 21 |
| 49.5 | 1.843 | 50 |
| 54.6 | 1.682 | 28 |
| 68.3 | 1.373 | 28 |
| 72.6 | 1.303 | 20 |

***

Entry 11:
Diffraction record for Dy2BPt5. The powder diffractogram is computed, not measured: it uses a DFT-relaxed cell (PBE, Alexandria) and copper Kα.
Intensities are scaled so that the largest is 100.

Cell and atoms:
abc: 5.8474 5.8474 5.7890
angles: 115.62 115.62 59.18
Fractional positions:
Dy: 0.0000 0.0000 0.0000
Dy: 0.4998 0.4998 0.4699
B: 0.7133 0.7133 0.2142
Pt: 0.0102 0.4981 0.4981
Pt: 0.4738 0.4738 0.9434
Pt: 0.4899 0.9973 0.9764
Pt: 0.4981 0.0102 0.4981
Pt: 0.9973 0.4899 0.9764

Peak list (8 most intense, 2θ from 10° to 90°, by angle)
| 2theta | d [Å] | I (rel.) |
| --- | --- | --- |
| 35.8 | 2.511 | 53 |
| 37.2 | 2.416 | 100 |
| 38.7 | 2.328 | 45 |
| 40.9 | 2.206 | 38 |
| 44.4 | 2.041 | 63 |
| 59.9 | 1.544 | 23 |
| 63.9 | 1.456 | 21 |
| 64.6 | 1.443 | 20 |

***

Entry 12:
Diffraction record for DyBPt6. The powder diffractogram is computed, not measured: it uses a DFT-relaxed cell (PBE, Alexandria) and copper Kα.
Intensities are scaled so that the largest is 100.

Cell and atoms:
abc: 6.0611 6.0611 6.0611
angles: 54.84 54.84 54.84
Fractional positions:
Dy: 0.0000 0.0000 0.0000
B: 0.5000 0.5000 0.5000
Pt: 0.0726 0.5933 0.5933
Pt: 0.4067 0.4067 0.9274
Pt: 0.4067 0.9274 0.4067
Pt: 0.5933 0.0726 0.5933
Pt: 0.5933 0.5933 0.0726
Pt: 0.9274 0.4066 0.4067

Peak list (8 most intense, 2θ from 10° to 90°, by angle)
| 2theta | d [Å] | I (rel.) |
| --- | --- | --- |
| 29.7 | 3.012 | 29 |
| 34.5 | 2.598 | 22 |
| 35.0 | 2.566 | 30 |
| 37.7 | 2.388 | 100 |
| 39.1 | 2.306 | 35 |
| 47.8 | 1.902 | 32 |
| 48.2 | 1.889 | 23 |
| 67.1 | 1.396 | 25 |